# 1
Computed powder diffractogram
Compound: CrO2
Radiation: Cu Kα
Structure: DFT lattice parameters and positions (GGA+U)

The 12 most intense peaks (2θ from 10° to 80°), low angle first:
2θ = 28.2°, 3.162 Å, I = 100.0, (1 1 0)
2θ = 36.1°, 2.488 Å, I = 59.3, (1 0 1)
2θ = 40.3°, 2.236 Å, I = 8.2, (2 0 0)
2θ = 41.5°, 2.174 Å, I = 17.5, (1 1 1)
2θ = 45.4°, 2.000 Å, I = 4.4, (2 1 0)
2θ = 55.2°, 1.663 Å, I = 59.0, (2 1 1)
2θ = 58.4°, 1.581 Å, I = 17.7, (2 2 0)
2θ = 62.0°, 1.498 Å, I = 9.0, (0 0 2)
2θ = 66.1°, 1.414 Å, I = 9.7, (3 1 0)
2θ = 69.4°, 1.353 Å, I = 11.4, (1 1 2)
2θ = 70.6°, 1.334 Å, I = 19.6, (3 0 1)
2θ = 76.6°, 1.244 Å, I = 2.7, (2 0 2)

Structural model:
Cell lengths 4.471, 4.471, 2.995 Å; angles 90.00, 90.00, 90.00 degrees
Space group P-42_1m (No. 113)
Asymmetric unit:
Cr (0.000, 0.500, 0.238) (multiplicity 2)
O (0.202, 0.298, 0.746) (multiplicity 4)

=====

# 2
Computed powder diffractogram
Compound: NiS2O8
Radiation: Cu Kα
Structure: DFT lattice parameters and positions (GGA+U)

The 12 most intense peaks (2θ from 10° to 80°), low angle first:
2θ = 11.7°, 7.534 Å, I = 11.4, (0 0 3)
2θ = 12.9°, 6.855 Å, I = 11.2, (1 0 1)
2θ = 14.6°, 6.068 Å, I = 53.1, (0 1 2)
2θ = 20.0°, 4.443 Å, I = 31.3, (1 0 4)
2θ = 24.5°, 3.637 Å, I = 100.0, (1 1 3)
2θ = 29.4°, 3.034 Å, I = 27.7, (0 2 4)
2θ = 32.1°, 2.790 Å, I = 44.1, (2 -1 6)
2θ = 33.2°, 2.699 Å, I = 14.3, (2 1 1)
2θ = 37.5°, 2.399 Å, I = 16.2, (3 0 0)
2θ = 39.4°, 2.285 Å, I = 11.2, (0 3 3)
2θ = 50.2°, 1.819 Å, I = 10.1, (4 -2 6)
2θ = 52.7°, 1.738 Å, I = 12.2, (3 -1 10)

Structural model:
Cell lengths 8.3062, 8.3062, 22.6016 Å; angles 90.00, 90.00, 120.00 degrees
Space group R3 (No. 146, hexagonal axes)
Asymmetric unit:
Ni (0.0000, 0.0000, 0.0000) (multiplicity 3)
Ni (0.0000, 0.0000, 0.2047) (multiplicity 3)
Ni (0.0000, 0.0000, 0.6976) (multiplicity 3)
S (0.0004, 0.2930, 0.6002) (multiplicity 9)
S (0.0434, 0.6720, 0.7639) (multiplicity 9)
O (0.0079, 0.2031, 0.5445) (multiplicity 9)
O (0.0501, 0.8268, 0.4326) (multiplicity 9)
O (0.0803, 0.8525, 0.0509) (multiplicity 9)
O (0.1002, 0.5656, 0.4164) (multiplicity 9)
O (0.1245, 0.6714, 0.8223) (multiplicity 9)
O (0.1622, 0.4528, 0.9276) (multiplicity 9)
O (0.1842, 0.4355, 0.3143) (multiplicity 9)
O (0.1944, 0.4364, 0.6143) (multiplicity 9)

=====

# 3
Computed powder diffractogram
Compound: MoO3
Radiation: Cu Kα
Structure: DFT lattice parameters and positions (GGA+U)

The 12 most intense peaks (2θ from 10° to 80°), low angle first:
2θ = 23.6°, 3.776 Å, I = 100.0, (1 0 1)
2θ = 33.2°, 2.695 Å, I = 7.6, (2 0 0)
2θ = 33.6°, 2.669 Å, I = 27.8, (1 2 1)
2θ = 33.9°, 2.646 Å, I = 6.2, (0 0 2)
2θ = 48.2°, 1.888 Å, I = 19.0, (2 0 2)
2θ = 53.9°, 1.701 Å, I = 6.8, (3 0 1)
2θ = 54.3°, 1.688 Å, I = 24.5, (2 2 2)
2θ = 54.7°, 1.677 Å, I = 5.4, (1 0 3)
2θ = 59.6°, 1.551 Å, I = 6.0, (3 2 1)
2θ = 60.4°, 1.532 Å, I = 7.0, (1 2 3)
2θ = 70.6°, 1.335 Å, I = 6.4, (2 4 2)
2θ = 75.2°, 1.264 Å, I = 4.7, (3 4 1)

Structural model:
Cell lengths 5.389, 7.548, 5.293 Å; angles 90.00, 90.00, 90.00 degrees
Space group Pnma (No. 62)
Asymmetric unit:
Mo (0.000, 0.000, 0.000) (multiplicity 4)
O (0.009, 0.250, 0.072) (multiplicity 4)
O (0.216, 0.036, 0.715) (multiplicity 8)

=====

# 4
Computed powder diffractogram
Compound: Fe3OF5
Radiation: Cu Kα
Structure: DFT lattice parameters and positions (GGA+U)

The 12 most intense peaks (2θ from 10° to 80°), low angle first:
2θ = 25.8°, 3.451 Å, I = 84.5, (1 0 -3)
2θ = 26.3°, 3.389 Å, I = 84.9, (1 0 3)
2θ = 33.6°, 2.664 Å, I = 100.0, (1 1 0)
2θ = 38.4°, 2.343 Å, I = 18.9, (1 1 -3)
2θ = 50.7°, 1.801 Å, I = 28.4, (2 1 -3)
2θ = 50.8°, 1.798 Å, I = 28.1, (1 1 -6)
2θ = 51.2°, 1.784 Å, I = 26.4, (2 1 3)
2θ = 51.3°, 1.780 Å, I = 26.0, (1 1 6)
2θ = 53.1°, 1.726 Å, I = 19.9, (2 0 -6)
2θ = 57.8°, 1.596 Å, I = 18.9, (0 2 0)
2θ = 64.6°, 1.443 Å, I = 30.1, (3 1 0)
2θ = 64.9°, 1.436 Å, I = 18.5, (0 1 9)

Structural model:
Cell lengths 4.850, 3.192, 14.475 Å; angles 90.00, 91.04, 90.00 degrees
Space group P2/m (No. 10)
Asymmetric unit:
Fe (0.000, 0.000, 0.000) (multiplicity 1)
Fe (0.013, 0.000, 0.669) (multiplicity 2)
Fe (0.471, 0.500, 0.822) (multiplicity 2)
Fe (0.500, 0.500, 0.500) (multiplicity 1)
O (0.308, 0.000, 0.772) (multiplicity 2)
F (0.201, 0.500, 0.597) (multiplicity 2)
F (0.209, 0.500, 0.262) (multiplicity 2)
F (0.213, 0.500, 0.934) (multiplicity 2)
F (0.295, 0.000, 0.430) (multiplicity 2)
F (0.306, 0.000, 0.102) (multiplicity 2)

=====

# 5
Computed powder diffractogram
Compound: La3Mn3O10
Radiation: Cu Kα
Structure: DFT lattice parameters and positions (GGA+U)

The 12 most intense peaks (2θ from 10° to 80°), low angle first:
2θ = 20.8°, 4.276 Å, I = 21.5, (0 1 -3)
2θ = 22.7°, 3.914 Å, I = 15.5, (1 0 3)
2θ = 29.4°, 3.037 Å, I = 64.9, (1 -1 6)
2θ = 32.5°, 2.759 Å, I = 100.0, (1 1 0)
2θ = 33.1°, 2.707 Å, I = 52.3, (-2 1 1)
2θ = 33.8°, 2.656 Å, I = 49.7, (-1 2 1)
2θ = 35.6°, 2.519 Å, I = 38.2, (0 1 7)
2θ = 38.7°, 2.326 Å, I = 19.3, (2 -2 2)
2θ = 42.3°, 2.137 Å, I = 44.3, (0 2 -6)
2θ = 46.4°, 1.957 Å, I = 34.4, (2 0 6)
2θ = 52.3°, 1.749 Å, I = 23.7, (-2 2 8)
2θ = 53.6°, 1.708 Å, I = 24.6, (2 -3 5)

Structural model:
Cell lengths 5.455, 5.457, 22.822 Å; angles 96.60, 90.12, 118.87 degrees
Space group P1 (No. 1)
Asymmetric unit:
La (0.000, 0.000, 0.000) (multiplicity 1)
La (0.088, 0.901, 0.295) (multiplicity 1)
La (0.191, 0.811, 0.582) (multiplicity 1)
La (0.297, 0.698, 0.901) (multiplicity 1)
La (0.390, 0.607, 0.185) (multiplicity 1)
La (0.593, 0.402, 0.790) (multiplicity 1)
La (0.688, 0.306, 0.086) (multiplicity 1)
La (0.799, 0.201, 0.401) (multiplicity 1)
La (0.888, 0.099, 0.687) (multiplicity 1)
Mn (0.048, 0.960, 0.143) (multiplicity 1)
Mn (0.141, 0.849, 0.444) (multiplicity 1)
Mn (0.242, 0.751, 0.742) (multiplicity 1)
Mn (0.447, 0.556, 0.344) (multiplicity 1)
Mn (0.546, 0.458, 0.638) (multiplicity 1)
Mn (0.639, 0.348, 0.941) (multiplicity 1)
Mn (0.743, 0.254, 0.243) (multiplicity 1)
Mn (0.839, 0.153, 0.539) (multiplicity 1)
Mn (0.941, 0.052, 0.842) (multiplicity 1)
O (0.011, 0.531, 0.500) (multiplicity 1)
O (0.029, 0.842, 0.792) (multiplicity 1)
O (0.042, 0.052, 0.492) (multiplicity 1)
O (0.062, 0.359, 0.779) (multiplicity 1)
O (0.123, 0.426, 0.277) (multiplicity 1)
O (0.164, 0.289, 0.603) (multiplicity 1)
O (0.200, 0.313, 0.105) (multiplicity 1)
O (0.229, 0.659, 0.385) (multiplicity 1)
O (0.245, 0.867, 0.098) (multiplicity 1)
O (0.279, 0.178, 0.380) (multiplicity 1)
O (0.333, 0.230, 0.877) (multiplicity 1)
O (0.355, 0.077, 0.207) (multiplicity 1)
O (0.412, 0.131, 0.704) (multiplicity 1)
O (0.440, 0.439, 0.986) (multiplicity 1)
O (0.452, 0.649, 0.695) (multiplicity 1)
O (0.488, 0.994, 0.979) (multiplicity 1)
O (0.521, 0.022, 0.484) (multiplicity 1)
O (0.559, 0.879, 0.806) (multiplicity 1)
O (0.622, 0.951, 0.305) (multiplicity 1)
O (0.647, 0.465, 0.289) (multiplicity 1)
O (0.648, 0.237, 0.597) (multiplicity 1)
O (0.693, 0.796, 0.588) (multiplicity 1)
O (0.745, 0.837, 0.088) (multiplicity 1)
O (0.784, 0.702, 0.396) (multiplicity 1)
O (0.825, 0.752, 0.905) (multiplicity 1)
O (0.829, 0.038, 0.195) (multiplicity 1)
O (0.855, 0.271, 0.888) (multiplicity 1)
O (0.860, 0.554, 0.180) (multiplicity 1)
O (0.924, 0.619, 0.679) (multiplicity 1)
O (0.943, 0.471, 0.997) (multiplicity 1)

=====

# 6
Computed powder diffractogram
Compound: Co2OF3
Radiation: Cu Kα
Structure: DFT lattice parameters and positions (GGA+U)

The 12 most intense peaks (2θ from 10° to 80°), low angle first:
2θ = 26.6°, 3.354 Å, I = 100.0, (1 1 2)
2θ = 26.9°, 3.317 Å, I = 95.8, (-1 1 2)
2θ = 34.2°, 2.623 Å, I = 29.6, (0 2 -1)
2θ = 34.3°, 2.613 Å, I = 81.9, (1 1 -3)
2θ = 39.4°, 2.287 Å, I = 17.2, (1 -2 1)
2θ = 51.9°, 1.762 Å, I = 16.7, (1 3 1)
2θ = 52.0°, 1.759 Å, I = 16.8, (2 2 -1)
2θ = 52.2°, 1.754 Å, I = 29.8, (1 1 7)
2θ = 52.3°, 1.749 Å, I = 29.3, (-1 3 1)
2θ = 54.7°, 1.677 Å, I = 18.2, (2 2 4)
2θ = 58.7°, 1.572 Å, I = 19.0, (0 2 -6)
2θ = 66.5°, 1.406 Å, I = 19.3, (3 1 -3)

Structural model:
Cell lengths 4.716, 5.685, 13.300 Å; angles 78.73, 89.56, 89.47 degrees
Space group P1 (No. 1)
Asymmetric unit:
Co (0.000, 0.000, 0.000) (multiplicity 1)
Co (0.002, 0.793, 0.598) (multiplicity 1)
Co (0.054, 0.379, 0.797) (multiplicity 1)
Co (0.457, 0.096, 0.215) (multiplicity 1)
Co (0.488, 0.478, 0.991) (multiplicity 1)
Co (0.494, 0.691, 0.395) (multiplicity 1)
Co (0.498, 0.912, 0.797) (multiplicity 1)
Co (0.512, 0.296, 0.595) (multiplicity 1)
Co (0.958, 0.599, 0.180) (multiplicity 1)
Co (0.974, 0.213, 0.401) (multiplicity 1)
O (0.213, 0.314, 0.940) (multiplicity 1)
O (0.287, 0.030, 0.336) (multiplicity 1)
O (0.315, 0.220, 0.735) (multiplicity 1)
O (0.699, 0.377, 0.455) (multiplicity 1)
O (0.791, 0.662, 0.057) (multiplicity 1)
F (0.176, 0.528, 0.325) (multiplicity 1)
F (0.192, 0.904, 0.140) (multiplicity 1)
F (0.194, 0.116, 0.536) (multiplicity 1)
F (0.200, 0.715, 0.740) (multiplicity 1)
F (0.294, 0.409, 0.138) (multiplicity 1)
F (0.304, 0.613, 0.536) (multiplicity 1)
F (0.310, 0.811, 0.939) (multiplicity 1)
F (0.684, 0.167, 0.069) (multiplicity 1)
F (0.690, 0.789, 0.254) (multiplicity 1)
F (0.701, 0.974, 0.657) (multiplicity 1)
F (0.713, 0.575, 0.856) (multiplicity 1)
F (0.789, 0.287, 0.254) (multiplicity 1)
F (0.798, 0.879, 0.456) (multiplicity 1)
F (0.814, 0.084, 0.858) (multiplicity 1)
F (0.815, 0.474, 0.662) (multiplicity 1)

=====

# 7
Computed powder diffractogram
Compound: MgNiO2
Radiation: Cu Kα
Structure: DFT lattice parameters and positions (GGA+U)

The 12 most intense peaks (2θ from 10° to 80°), low angle first:
2θ = 14.7°, 6.015 Å, I = 100.0, (0 1 1)
2θ = 21.5°, 4.129 Å, I = 39.5, (0 0 2)
2θ = 23.4°, 3.808 Å, I = 58.3, (0 1 2)
2θ = 25.6°, 3.476 Å, I = 36.1, (0 2 -1)
2θ = 29.7°, 3.007 Å, I = 39.3, (0 2 2)
2θ = 33.7°, 2.663 Å, I = 52.7, (0 3 0)
2θ = 34.5°, 2.603 Å, I = 29.5, (0 3 1)
2θ = 35.5°, 2.532 Å, I = 91.5, (1 -1 0)
2θ = 35.6°, 2.520 Å, I = 49.7, (1 2 1)
2θ = 49.8°, 1.829 Å, I = 51.1, (1 0 -3)
2θ = 52.2°, 1.752 Å, I = 32.9, (1 -2 3)
2θ = 52.3°, 1.748 Å, I = 32.3, (1 3 -2)

Structural model:
Cell lengths 2.887, 8.143, 8.413 Å; angles 83.35, 80.18, 80.04 degrees
Space group P-1 (No. 2)
Asymmetric unit:
Mg (0.079, 0.131, 0.209) (multiplicity 2)
Mg (0.345, 0.228, 0.572) (multiplicity 2)
Ni (0.212, 0.190, 0.883) (multiplicity 2)
Ni (0.371, 0.446, 0.308) (multiplicity 2)
O (0.089, 0.719, 0.611) (multiplicity 2)
O (0.164, 0.894, 0.289) (multiplicity 2)
O (0.181, 0.405, 0.734) (multiplicity 2)
O (0.367, 0.822, 0.946) (multiplicity 2)

=====

# 8
Computed powder diffractogram
Compound: Li6Mn3Sb3O16
Radiation: Cu Kα
Structure: DFT lattice parameters and positions (GGA+U)

The 12 most intense peaks (2θ from 10° to 80°), low angle first:
2θ = 16.8°, 5.286 Å, I = 12.0, (2 0 0)
2θ = 17.7°, 5.015 Å, I = 100.0, (0 0 2)
2θ = 19.0°, 4.677 Å, I = 19.7, (2 0 1)
2θ = 19.1°, 4.644 Å, I = 27.6, (1 1 1)
2θ = 24.5°, 3.626 Å, I = 11.2, (2 0 2)
2θ = 31.7°, 2.819 Å, I = 10.1, (2 0 3)
2θ = 35.1°, 2.556 Å, I = 16.5, (4 0 -1)
2θ = 35.4°, 2.534 Å, I = 30.6, (2 2 1)
2θ = 38.8°, 2.321 Å, I = 15.6, (2 2 2)
2θ = 43.9°, 2.062 Å, I = 28.7, (2 2 3)
2θ = 57.8°, 1.594 Å, I = 12.4, (2 2 -5)
2θ = 60.9°, 1.521 Å, I = 11.6, (6 2 0)

Structural model:
Cell lengths 10.573, 6.031, 10.030 Å; angles 90.00, 90.25, 90.00 degrees
Space group Cm (No. 8)
Asymmetric unit:
Li (0.000, 0.000, 0.000) (multiplicity 2)
Li (0.005, 0.000, 0.368) (multiplicity 2)
Li (0.176, 0.500, 0.000) (multiplicity 2)
Li (0.182, 0.500, 0.491) (multiplicity 2)
Li (0.327, 0.000, 0.488) (multiplicity 2)
Li (0.338, 0.000, 0.876) (multiplicity 2)
Mn (0.252, 0.248, 0.210) (multiplicity 4)
Mn (0.335, 0.500, 0.712) (multiplicity 2)
Sb (0.083, 0.247, 0.708) (multiplicity 4)
Sb (0.499, 0.000, 0.210) (multiplicity 2)
O (0.015, 0.000, 0.588) (multiplicity 2)
O (0.015, 0.500, 0.593) (multiplicity 2)
O (0.094, 0.269, 0.106) (multiplicity 4)
O (0.153, 0.500, 0.821) (multiplicity 2)
O (0.155, 0.000, 0.822) (multiplicity 2)
O (0.174, 0.500, 0.310) (multiplicity 2)
O (0.188, 0.000, 0.311) (multiplicity 2)
O (0.244, 0.271, 0.608) (multiplicity 4)
O (0.320, 0.500, 0.111) (multiplicity 2)
O (0.330, 0.000, 0.103) (multiplicity 2)
O (0.408, 0.230, 0.316) (multiplicity 4)
O (0.426, 0.273, 0.814) (multiplicity 4)

=====

Q: Which formula does entry 2 have?
A: NiS2O8